No. 1
Theoretical X-ray diffraction stick pattern of ZrZnFe for Cu Kα, from a DFT-relaxed cell (GGA-PBE, Alexandria).
Kinematic intensities with the Lorentz-polarization factor, no thermal factor.

Crystal structure
a b c (Å): 5.0711 5.1524 7.1663
angles (deg): 90.00 90.00 90.00
Positions (direct):
1 Zr 0.0000 0.2500 0.1165
2 Zr 0.0000 0.7500 0.8835
3 Zr 0.5000 0.2500 0.3835
4 Zr 0.5000 0.7500 0.6165
5 Zn 0.0000 0.0000 0.5000
6 Zn 0.0000 0.5000 0.5000
7 Zn 0.5000 0.0000 0.0000
8 Zn 0.5000 0.5000 0.0000
9 Fe 0.2500 0.2500 0.7500
10 Fe 0.2500 0.7500 0.2500
11 Fe 0.7500 0.2500 0.7500
12 Fe 0.7500 0.7500 0.2500

Main lines, low angle first (10 to 80 degrees two-theta):
35.27 deg, I 58
41.28 deg, I 86
41.66 deg, I 100
41.80 deg, I 33
43.25 deg, I 27
43.74 deg, I 36
67.11 deg, I 22
67.56 deg, I 19
67.94 deg, I 23
74.59 deg, I 34

---

No. 2
Theoretical X-ray diffraction stick pattern of KHoEr4Se8 for Cu Kα, from a DFT-relaxed cell (GGA-PBE, Alexandria).
Kinematic intensities with the Lorentz-polarization factor, no thermal factor.

Crystal structure
a b c (Å): 8.5314 8.5314 8.5314
angles (deg): 59.89 59.89 59.89
Positions (direct):
1 K 0.0000 0.0000 0.0000
2 Ho 0.3695 0.3695 0.3695
3 Er 0.3695 0.3695 0.8892
4 Er 0.3695 0.8892 0.3695
5 Er 0.7493 0.7493 0.7493
6 Er 0.8892 0.3695 0.3695
7 Se 0.1393 0.1393 0.5780
8 Se 0.1393 0.5780 0.1393
9 Se 0.1402 0.1402 0.1402
10 Se 0.1468 0.6174 0.6174
11 Se 0.5780 0.1393 0.1393
12 Se 0.6174 0.1468 0.6174
13 Se 0.6174 0.6174 0.1468
14 Se 0.6168 0.6168 0.6168

Main lines, low angle first (10 to 80 degrees two-theta):
12.72 deg, I 41
14.70 deg, I 13
20.84 deg, I 16
24.49 deg, I 85
29.64 deg, I 72
38.82 deg, I 56
42.42 deg, I 100
58.87 deg, I 13
61.54 deg, I 15
77.64 deg, I 21

---

No. 3
Theoretical X-ray diffraction stick pattern of Ce2MgCo9 for Cu Kα, from a DFT-relaxed cell (GGA-PBE, Alexandria).
Kinematic intensities with the Lorentz-polarization factor, no thermal factor.

Crystal structure
a b c (Å): 8.7136 8.7136 8.7136
angles (deg): 32.31 32.31 32.31
Positions (direct):
1 Ce 0.1371 0.1371 0.1371
2 Ce 0.8629 0.8629 0.8629
3 Mg 0.0000 0.0000 0.0000
4 Co 0.0803 0.5792 0.5792
5 Co 0.3334 0.3334 0.3334
6 Co 0.4208 0.4208 0.9197
7 Co 0.4208 0.9197 0.4208
8 Co 0.5000 0.5000 0.5000
9 Co 0.5792 0.0803 0.5792
10 Co 0.5792 0.5792 0.0803
11 Co 0.6666 0.6666 0.6666
12 Co 0.9197 0.4208 0.4208

Main lines, low angle first (10 to 80 degrees two-theta):
10.72 deg, I 23
25.63 deg, I 25
33.12 deg, I 30
36.05 deg, I 32
37.08 deg, I 36
43.27 deg, I 100
45.62 deg, I 23
45.74 deg, I 31
47.00 deg, I 34
78.97 deg, I 20

---

No. 4
Theoretical X-ray diffraction stick pattern of P5Ir3 for Cu Kα, from a DFT-relaxed cell (GGA-PBE, Alexandria).
Kinematic intensities with the Lorentz-polarization factor, no thermal factor.

Crystal structure
a b c (Å): 7.5494 7.5494 4.8178
angles (deg): 90.00 90.00 120.00
Positions (direct):
1 P 0.0000 0.2770 0.2500
2 P 0.0000 0.7230 0.7500
3 P 0.2770 0.0000 0.2500
4 P 0.2770 0.2770 0.7500
5 P 0.3333 0.6667 0.0000
6 P 0.3333 0.6667 0.5000
7 P 0.6667 0.3333 0.0000
8 P 0.6667 0.3333 0.5000
9 P 0.7230 0.0000 0.7500
10 P 0.7230 0.7230 0.2500
11 Ir 0.0000 0.3687 0.7500
12 Ir 0.0000 0.6313 0.2500
13 Ir 0.3687 0.0000 0.7500
14 Ir 0.3687 0.3687 0.2500
15 Ir 0.6313 0.0000 0.2500
16 Ir 0.6313 0.6313 0.7500

Main lines, low angle first (10 to 80 degrees two-theta):
13.54 deg, I 13
23.57 deg, I 36
30.08 deg, I 100
37.33 deg, I 22
41.05 deg, I 25
41.43 deg, I 50
44.62 deg, I 30
52.04 deg, I 20
54.04 deg, I 15
56.98 deg, I 26

---

No. 5
Theoretical X-ray diffraction stick pattern of Y3TaPt12 for Cu Kα, from a DFT-relaxed cell (GGA-PBE, Alexandria).
Kinematic intensities with the Lorentz-polarization factor, no thermal factor.

Crystal structure
a b c (Å): 4.0907 4.0907 16.4116
angles (deg): 90.00 90.00 90.00
Positions (direct):
1 Y 0.0000 0.0000 0.0000
2 Y 0.0000 0.0000 0.2512
3 Y 0.0000 0.0000 0.7488
4 Ta 0.0000 0.0000 0.5000
5 Pt 0.0000 0.5000 0.1272
6 Pt 0.0000 0.5000 0.3852
7 Pt 0.0000 0.5000 0.6148
8 Pt 0.0000 0.5000 0.8728
9 Pt 0.5000 0.0000 0.1272
10 Pt 0.5000 0.0000 0.3852
11 Pt 0.5000 0.0000 0.6148
12 Pt 0.5000 0.0000 0.8728
13 Pt 0.5000 0.5000 0.0000
14 Pt 0.5000 0.5000 0.2565
15 Pt 0.5000 0.5000 0.5000
16 Pt 0.5000 0.5000 0.7435

Main lines, low angle first (10 to 80 degrees two-theta):
10.78 deg, I 2
21.71 deg, I 4
30.88 deg, I 3
38.06 deg, I 100
44.15 deg, I 15
44.29 deg, I 34
64.31 deg, I 20
64.42 deg, I 11
77.15 deg, I 11
77.35 deg, I 26

---

No. 6
Theoretical X-ray diffraction stick pattern of LaSmBeN2 for Cu Kα, from a DFT-relaxed cell (GGA-PBE, Alexandria).
Kinematic intensities with the Lorentz-polarization factor, no thermal factor.

Crystal structure
a b c (Å): 5.0790 5.3256 6.7982
angles (deg): 90.00 90.00 90.00
Positions (direct):
1 La 0.0000 0.0000 0.2500
2 La 0.0000 0.0000 0.7500
3 Sm 0.5000 0.5000 0.2500
4 Sm 0.5000 0.5000 0.7500
5 Be 0.0000 0.5000 0.0000
6 Be 0.0000 0.5000 0.5000
7 N 0.2190 0.2944 0.0000
8 N 0.2190 0.7056 0.5000
9 N 0.7810 0.2944 0.5000
10 N 0.7810 0.7056 0.0000

Main lines, low angle first (10 to 80 degrees two-theta):
24.21 deg, I 100
26.22 deg, I 33
33.66 deg, I 20
35.34 deg, I 17
35.99 deg, I 80
43.16 deg, I 25
44.54 deg, I 23
49.60 deg, I 18
56.96 deg, I 17
59.97 deg, I 16

---

No. 7
Theoretical X-ray diffraction stick pattern of CeAl2SiPt for Cu Kα, from a DFT-relaxed cell (GGA-PBE, Alexandria).
Kinematic intensities with the Lorentz-polarization factor, no thermal factor.

Crystal structure
a b c (Å): 4.0784 4.1320 10.8751
angles (deg): 90.00 90.00 90.00
Positions (direct):
1 Ce 0.0000 0.0000 0.0000
2 Ce 0.5000 0.5000 0.5000
3 Al 0.0000 0.0000 0.3840
4 Al 0.0000 0.5000 0.2455
5 Al 0.5000 0.0000 0.7455
6 Al 0.5000 0.5000 0.8840
7 Si 0.0000 0.0000 0.6086
8 Si 0.5000 0.5000 0.1086
9 Pt 0.0000 0.5000 0.7428
10 Pt 0.5000 0.0000 0.2428

Main lines, low angle first (10 to 80 degrees two-theta):
23.03 deg, I 40
23.29 deg, I 36
32.91 deg, I 42
33.06 deg, I 27
35.04 deg, I 100
43.82 deg, I 17
44.43 deg, I 16
55.94 deg, I 21
56.38 deg, I 18
60.19 deg, I 17

---

No. 8
Theoretical X-ray diffraction stick pattern of LiNbP4O12 for Cu Kα, from a DFT-relaxed cell (GGA-PBE, Alexandria).
Kinematic intensities with the Lorentz-polarization factor, no thermal factor.

Crystal structure
a b c (Å): 7.4447 7.4447 10.3529
angles (deg): 113.19 113.19 70.28
Positions (direct):
1 Li 0.0160 0.9840 0.7500
2 Li 0.9840 0.0160 0.2500
3 Nb 0.0000 0.5000 0.5000
4 Nb 0.5000 0.0000 0.0000
5 P 0.2565 0.7239 0.0246
6 P 0.2761 0.7435 0.4754
7 P 0.3044 0.3197 0.8056
8 P 0.3197 0.3044 0.3056
9 P 0.6803 0.6956 0.6944
10 P 0.6956 0.6803 0.1944
11 P 0.7239 0.2565 0.5246
12 P 0.7435 0.2761 0.9754
13 O 0.0970 0.8373 0.0939
14 O 0.1312 0.2898 0.3200
15 O 0.1627 0.9030 0.4061
16 O 0.1901 0.7011 0.5703
17 O 0.2055 0.3507 0.6564
18 O 0.2145 0.5039 0.9265
19 O 0.2898 0.1312 0.8200
20 O 0.2989 0.8099 0.9297
21 O 0.3316 0.5332 0.3514
22 O 0.3507 0.2055 0.1564
23 O 0.4668 0.6684 0.1486
24 O 0.4961 0.7855 0.5735
25 O 0.5039 0.2145 0.4265
26 O 0.5332 0.3316 0.8514
27 O 0.6493 0.7945 0.8436
28 O 0.6684 0.4668 0.6486
29 O 0.7011 0.1901 0.0703
30 O 0.7102 0.8688 0.1800
31 O 0.7855 0.4961 0.0735
32 O 0.7945 0.6493 0.3436
33 O 0.8099 0.2989 0.4297
34 O 0.8373 0.0970 0.5939
35 O 0.8688 0.7102 0.6800
36 O 0.9030 0.1627 0.9061

Main lines, low angle first (10 to 80 degrees two-theta):
13.89 deg, I 67
18.72 deg, I 51
19.57 deg, I 25
24.37 deg, I 53
27.99 deg, I 16
28.65 deg, I 100
29.96 deg, I 28
33.59 deg, I 19
36.38 deg, I 18
41.46 deg, I 19

---

No. 9
Theoretical X-ray diffraction stick pattern of Ac2Pr12Sm5 for Cu Kα, from a DFT-relaxed cell (GGA-PBE, Alexandria).
Kinematic intensities with the Lorentz-polarization factor, no thermal factor.

Crystal structure
a b c (Å): 9.0066 9.0066 9.7185
angles (deg): 109.84 109.84 82.87
Positions (direct):
1 Ac 0.2341 0.7659 0.0000
2 Ac 0.7659 0.2341 0.0000
3 Pr 0.0661 0.5538 0.1979
4 Pr 0.0753 0.0753 0.7746
5 Pr 0.1097 0.6717 0.5746
6 Pr 0.3283 0.8903 0.4254
7 Pr 0.3735 0.3735 0.0554
8 Pr 0.4462 0.9339 0.8021
9 Pr 0.5538 0.0661 0.1979
10 Pr 0.6265 0.6265 0.9446
11 Pr 0.6717 0.1097 0.5746
12 Pr 0.8903 0.3283 0.4254
13 Pr 0.9247 0.9247 0.2254
14 Pr 0.9339 0.4462 0.8021
15 Sm 0.1927 0.1927 0.2402
16 Sm 0.3096 0.3096 0.6695
17 Sm 0.5000 0.5000 0.5000
18 Sm 0.6904 0.6904 0.3305
19 Sm 0.8073 0.8073 0.7598

Main lines, low angle first (10 to 80 degrees two-theta):
25.91 deg, I 13
29.75 deg, I 22
29.99 deg, I 52
30.39 deg, I 34
30.59 deg, I 100
31.44 deg, I 55
33.64 deg, I 19
43.21 deg, I 22
48.13 deg, I 11
53.60 deg, I 28

---

No. 10
Theoretical X-ray diffraction stick pattern of RbMgPb2F8 for Cu Kα, from a DFT-relaxed cell (GGA-PBE, Alexandria).
Kinematic intensities with the Lorentz-polarization factor, no thermal factor.

Crystal structure
a b c (Å): 4.8833 5.5345 7.8348
angles (deg): 92.01 96.80 99.35
Positions (direct):
1 Rb 0.0000 0.0000 0.0000
2 Mg 0.0000 0.0000 0.5000
3 Pb 0.4153 0.5101 0.7366
4 Pb 0.5847 0.4899 0.2634
5 F 0.0176 0.7383 0.3069
6 F 0.1462 0.8059 0.6890
7 F 0.3714 0.2373 0.4842
8 F 0.4583 0.7201 0.0179
9 F 0.5417 0.2799 0.9821
10 F 0.6286 0.7627 0.5158
11 F 0.8538 0.1941 0.3110
12 F 0.9824 0.2617 0.6931

Main lines, low angle first (10 to 80 degrees two-theta):
16.26 deg, I 84
18.56 deg, I 44
22.58 deg, I 100
22.90 deg, I 34
23.04 deg, I 38
26.79 deg, I 85
27.45 deg, I 72
27.71 deg, I 48
28.96 deg, I 75
41.97 deg, I 37

---

No. 11
Theoretical X-ray diffraction stick pattern of Tc5As for Cu Kα, from a DFT-relaxed cell (GGA-PBE, Alexandria).
Kinematic intensities with the Lorentz-polarization factor, no thermal factor.

Crystal structure
a b c (Å): 10.0264 2.8490 6.4285
angles (deg): 90.00 105.69 90.00
Positions (direct):
1 Tc 0.0000 0.0000 0.0000
2 Tc 0.0498 0.0000 0.6306
3 Tc 0.2249 0.5000 0.9728
4 Tc 0.3308 0.0000 0.6822
5 Tc 0.4138 0.0000 0.2823
6 Tc 0.5000 0.5000 0.0000
7 Tc 0.5498 0.5000 0.6306
8 Tc 0.7249 0.0000 0.9728
9 Tc 0.8308 0.5000 0.6822
10 Tc 0.9138 0.5000 0.2823
11 As 0.1868 0.5000 0.3577
12 As 0.6868 0.0000 0.3577

Main lines, low angle first (10 to 80 degrees two-theta):
36.96 deg, I 28
38.57 deg, I 10
40.73 deg, I 36
42.40 deg, I 100
43.84 deg, I 48
56.16 deg, I 15
65.53 deg, I 9
68.74 deg, I 15
75.28 deg, I 14
76.39 deg, I 4

---

No. 12
Theoretical X-ray diffraction stick pattern of K3Tl3CoBr8 for Cu Kα, from a DFT-relaxed cell (GGA-PBE, Alexandria).
Kinematic intensities with the Lorentz-polarization factor, no thermal factor.

Crystal structure
a b c (Å): 9.2852 9.2852 9.3435
angles (deg): 119.54 119.54 60.24
Positions (direct):
1 K 0.0000 0.0000 0.0000
2 K 0.0000 0.5000 0.0000
3 K 0.5000 0.0000 0.0000
4 Tl 0.0000 0.5000 0.5000
5 Tl 0.5000 0.0000 0.5000
6 Tl 0.5000 0.5000 0.5000
7 Co 0.5000 0.5000 0.0000
8 Br 0.2476 0.2476 0.2427
9 Br 0.2967 0.7025 0.2004
10 Br 0.2983 0.2983 0.7993
11 Br 0.2975 0.7033 0.7996
12 Br 0.7025 0.2967 0.2004
13 Br 0.7017 0.7017 0.2007
14 Br 0.7033 0.2975 0.7996
15 Br 0.7524 0.7524 0.7573

Main lines, low angle first (10 to 80 degrees two-theta):
11.61 deg, I 41
11.68 deg, I 17
22.39 deg, I 18
27.03 deg, I 100
29.42 deg, I 12
35.42 deg, I 11
38.39 deg, I 22
38.55 deg, I 11
38.65 deg, I 11
38.79 deg, I 21